[1]
Diffraction record for CsI3O6. The powder XRD pattern is simulated, not measured: it uses a structure optimized by DFT (PBE) and copper Kα.

Crystal structure
```
10
Lattice="7.6019 4.3890 1.3584 -7.6019 4.3890 1.3584 0.0000 -8.7780 1.3584" Properties=species:S:1:pos:R:3 pbc="T T T"
Cs 0.0000 0.0000 0.0000
I -3.5485 -2.0487 1.9664
I 3.5485 -2.0487 1.9664
I 0.0000 4.0975 1.9664
O 0.0000 -4.3879 1.3811
O -3.8000 2.1940 1.3811
O -1.9600 -1.1316 2.0201
O 1.9600 -1.1316 2.0201
O 0.0000 2.2632 2.0201
O 3.8001 2.1940 1.3811
```

Peak list (10 most intense, 10° ≤ 2θ ≤ 80°, in order of falling intensity)
d (Å)	Position (°2θ)	I/Imax
3.801	23.4	100
3.465	25.7	50
2.124	42.6	20
2.561	35.0	19
2.194	41.1	18
3.153	28.3	17
1.900	47.9	14
4.389	20.2	11
1.947	46.7	9
1.666	55.1	8

[2]
Diffraction record for CsI2O6. The powder XRD pattern is simulated, not measured: it uses a structure optimized by DFT (PBE) and copper Kα.

Crystal structure
```
18
Lattice="7.0617 -3.6098 0.0000 7.0617 3.6098 0.0000 -4.7570 0.0000 6.8008" Properties=species:S:1:pos:R:3 pbc="T T T"
Cs 3.4940 3.3737 5.1006
Cs 5.8724 -3.3737 1.7002
I 0.7552 0.0642 5.9450
I 3.1337 -0.0642 2.5446
I 6.2327 0.0642 4.2561
I 8.6112 -0.0642 0.8558
O -0.5280 1.0657 5.1113
O 1.7823 1.3589 6.7464
O 2.1734 0.5219 4.0141
O 5.2057 1.3589 3.4547
O 1.8505 -1.0657 1.7109
O 4.5519 -0.5219 0.6137
O 4.8145 0.5219 6.1870
O 7.5159 1.0657 5.0898
O 4.1607 -1.3589 3.3460
O 7.1930 -0.5219 2.7866
O 7.5841 -1.3589 0.0543
O 9.8944 -1.0657 1.6895
```

Peak list (10 most intense, 10° ≤ 2θ ≤ 80°, in order of falling intensity)
d (Å)	Position (°2θ)	I/Imax
3.402	26.2	100
3.450	25.8	78
3.610	24.7	50
2.042	44.4	29
3.344	26.7	26
2.453	36.6	22
3.420	26.1	20
1.995	45.5	20
2.075	43.6	13
1.759	52.0	13

[3]
Diffraction record for CsPaIO6. The powder XRD pattern is simulated, not measured: it uses a structure optimized by DFT (PBE) and copper Kα.

Crystal structure
```
18
Lattice="-3.8688 4.0049 5.4996 3.8688 -4.0049 5.4996 3.8688 4.0049 -5.4996" Properties=species:S:1:pos:R:3 pbc="T T T"
Cs 0.0000 2.0025 1.2481
Cs 3.8688 2.0025 4.2515
Pa 3.8688 0.0000 0.0000
Pa 0.0000 0.0000 5.4996
I 1.9344 2.0025 -2.7498
I 1.9344 -2.0025 2.7498
O 2.2800 -0.5951 1.3820
O 5.4577 -0.5951 1.3820
O 3.8688 -2.0025 3.3358
O 2.2800 3.4098 -1.3820
O 1.5889 -0.5951 4.1176
O 3.8688 2.0025 0.7878
O 0.0000 2.0025 4.7118
O 2.2800 4.6000 1.3820
O 1.5889 0.5951 6.8817
O 0.0000 6.0074 2.1639
O -1.5889 4.6000 4.1176
O 1.5889 4.6000 4.1176
```

Peak list (10 most intense, 10° ≤ 2θ ≤ 80°, in order of falling intensity)
d (Å)	Position (°2θ)	I/Imax
3.384	26.3	100
3.317	26.9	87
3.164	28.2	55
1.956	46.4	54
3.237	27.6	48
6.329	14.0	47
3.334	26.7	27
2.127	42.5	24
2.157	41.9	20
1.692	54.2	18

[4]
Diffraction record for Cs5PdIO2. The powder XRD pattern is simulated, not measured: it uses a structure optimized by DFT (PBE) and copper Kα.

Crystal structure
```
9
Lattice="5.9809 0.0000 0.0000 0.0000 5.9809 0.0000 0.0000 0.0000 9.9408" Properties=species:S:1:pos:R:3 pbc="T T T"
Cs 0.0000 0.0000 0.0000
Cs 0.0000 2.9904 2.9126
Cs 0.0000 2.9904 7.0282
Cs 2.9904 0.0000 2.9126
Cs 2.9904 0.0000 7.0282
Pd 0.0000 0.0000 4.9704
I 2.9904 2.9904 0.0000
O 0.0000 0.0000 2.8701
O 0.0000 0.0000 7.0707
```

Peak list (10 most intense, 10° ≤ 2θ ≤ 80°, in order of falling intensity)
d (Å)	Position (°2θ)	I/Imax
3.221	27.7	100
2.990	29.9	57
1.768	51.7	35
2.115	42.8	21
3.892	22.9	20
2.220	40.6	17
1.911	47.6	14
3.314	26.9	13
1.799	50.7	12
1.370	68.5	10

[5]
Diffraction record for Cs2PmIO6. The powder XRD pattern is simulated, not measured: it uses a structure optimized by DFT (PBE) and copper Kα.

Crystal structure
```
10
Lattice="6.8495 0.0000 0.0000 -3.4247 5.9318 0.0000 0.0000 0.0000 6.0400" Properties=species:S:1:pos:R:3 pbc="T T T"
Cs 0.0000 3.9545 2.2936
Cs 3.4247 1.9773 3.7464
Pm 0.0000 0.0000 0.0000
I 0.0000 0.0000 3.0200
O 0.0000 1.5306 4.1908
O -2.0992 5.1665 4.1908
O 1.3255 0.7653 1.8492
O 2.0992 5.1665 4.1908
O 5.5239 0.7653 1.8492
O 3.4247 4.4012 1.8492
```

Peak list (10 most intense, 10° ≤ 2θ ≤ 80°, in order of falling intensity)
d (Å)	Position (°2θ)	I/Imax
3.425	26.0	100
5.932	14.9	52
2.691	33.3	39
4.232	21.0	37
2.116	42.7	31
1.800	50.7	29
2.662	33.7	25
2.265	39.8	22
6.040	14.7	21
1.977	45.9	19

[6]
Diffraction record for Cs2Rb2I2O. The powder XRD pattern is simulated, not measured: it uses a structure optimized by DFT (PBE) and copper Kα.

Crystal structure
```
14
Lattice="18.2282 0.0000 0.0000 0.0000 4.6775 0.0000 -3.4585 0.0000 7.1518" Properties=species:S:1:pos:R:3 pbc="T T T"
Cs -0.8427 0.0000 1.7531
Cs 15.6125 0.0000 5.3987
Cs 8.2714 2.3387 1.7531
Cs 6.4983 2.3387 5.3987
Rb 2.4566 2.3387 1.1797
Rb 3.1991 0.0000 5.9720
Rb 11.5707 0.0000 1.1797
Rb 12.3132 2.3387 5.9720
I 0.6706 2.3387 4.7366
I 4.9851 0.0000 2.4151
I 9.7847 0.0000 4.7366
I 14.0992 2.3387 2.4151
O 0.0000 2.3387 0.0000
O 9.1141 0.0000 0.0000
```

Peak list (10 most intense, 10° ≤ 2θ ≤ 80°, in order of falling intensity)
d (Å)	Position (°2θ)	I/Imax
3.555	25.0	100
2.977	30.0	69
3.575	24.9	44
2.854	31.3	29
2.735	32.7	27
2.225	40.5	26
1.734	52.8	25
1.854	49.2	20
2.339	38.5	18
1.957	46.4	16

[7]
Diffraction record for CsSeI2O8. The powder XRD pattern is simulated, not measured: it uses a structure optimized by DFT (PBE) and copper Kα.

Crystal structure
```
12
Lattice="5.6772 -2.8505 0.0000 5.6772 2.8505 0.0000 -2.3813 0.0000 6.8604" Properties=species:S:1:pos:R:3 pbc="T T T"
Cs 0.0000 0.0000 0.0000
Se 4.4866 0.0000 3.4302
I 0.9008 0.0000 4.4837
I 8.0724 0.0000 2.3767
O 3.6722 1.3917 2.1949
O 1.0394 0.0000 2.7006
O 5.3009 1.3917 4.6655
O 2.9910 0.0000 4.6297
O 5.9822 0.0000 2.2307
O 3.6722 -1.3917 2.1949
O 7.9337 0.0000 4.1599
O 5.3009 -1.3917 4.6655
```

Peak list (10 most intense, 10° ≤ 2θ ≤ 80°, in order of falling intensity)
d (Å)	Position (°2θ)	I/Imax
3.790	23.5	100
3.108	28.7	85
6.860	12.9	41
3.448	25.8	36
2.851	31.4	35
3.062	29.2	29
3.680	24.2	26
2.009	45.1	22
1.953	46.5	17
2.196	41.1	16

[8]
Diffraction record for CsSe2IO8. The powder XRD pattern is simulated, not measured: it uses a structure optimized by DFT (PBE) and copper Kα.

Crystal structure
```
12
Lattice="5.9848 -2.7805 0.0000 5.9848 2.7805 0.0000 -3.7144 0.0000 7.0859" Properties=species:S:1:pos:R:3 pbc="T T T"
Cs 0.0000 0.0000 0.0000
Se -0.0591 0.0000 4.6573
Se 8.3144 0.0000 2.4286
I 4.1277 0.0000 3.5430
O 3.4450 1.4598 2.1178
O 0.4521 0.0000 3.1017
O 1.0455 0.0000 5.8646
O 4.8103 1.4598 4.9682
O 3.4450 -1.4598 2.1178
O 7.2099 0.0000 1.2213
O 7.8032 0.0000 3.9842
O 4.8103 -1.4598 4.9682
```

Peak list (10 most intense, 10° ≤ 2θ ≤ 80°, in order of falling intensity)
d (Å)	Position (°2θ)	I/Imax
3.240	27.5	100
3.688	24.1	86
3.898	22.8	77
2.780	32.2	29
7.086	12.5	26
2.264	39.8	24
2.430	37.0	22
2.335	38.6	22
2.006	45.2	19
3.535	25.2	18

[9]
Diffraction record for CsTmI2O8. The powder XRD pattern is simulated, not measured: it uses a structure optimized by DFT (PBE) and copper Kα.

Crystal structure
```
12
Lattice="2.9596 1.7087 8.3396 -2.9596 1.7087 8.3396 0.0000 -3.4174 8.3396" Properties=species:S:1:pos:R:3 pbc="T T T"
Cs 0.0000 0.0000 0.0000
Tm 0.0000 0.0000 12.5094
I 0.0000 0.0000 5.7289
I 0.0000 0.0000 19.2899
O -1.8143 -0.2003 11.2225
O -0.7336 -1.6714 13.7962
O 0.0000 0.0000 7.5181
O 1.0806 -1.4710 11.2225
O -1.0806 1.4710 13.7962
O 0.0000 0.0000 17.5006
O 0.7336 1.6714 11.2225
O 1.8143 0.2003 13.7962
```

Peak list (10 most intense, 10° ≤ 2θ ≤ 80°, in order of falling intensity)
d (Å)	Position (°2θ)	I/Imax
3.965	22.4	100
2.960	30.2	46
1.851	49.2	23
2.372	37.9	21
2.670	33.6	18
8.340	10.6	17
1.709	53.6	13
1.386	67.6	9
1.982	45.8	9
1.647	55.8	9

[10]
Diffraction record for Cs2UI5O. The powder XRD pattern is simulated, not measured: it uses a structure optimized by DFT (PBE) and copper Kα.

Crystal structure
```
9
Lattice="-4.3573 4.3573 5.7335 4.3573 -4.3573 5.7335 4.3573 4.3573 -5.7335" Properties=species:S:1:pos:R:3 pbc="T T T"
Cs 4.3573 0.0000 0.0000
Cs 0.0000 4.3573 0.0000
U 0.0000 0.0000 2.9633
I 2.2030 2.2030 -2.8628
I 2.1543 -2.1543 2.8707
I -2.1543 2.1543 2.8707
I 2.1543 2.1543 2.8707
I 0.0000 0.0000 11.4440
O 0.0000 0.0000 4.7856
```

Peak list (10 most intense, 10° ≤ 2θ ≤ 80°, in order of falling intensity)
d (Å)	Position (°2θ)	I/Imax
3.081	29.0	100
3.469	25.7	97
6.938	12.8	71
2.099	43.1	64
4.198	21.2	42
2.867	31.2	39
2.179	41.4	38
1.735	52.8	35
1.845	49.4	31
3.690	24.1	29

[11]
Diffraction record for CsPOsI2. The powder XRD pattern is simulated, not measured: it uses a structure optimized by DFT (PBE) and copper Kα.

Crystal structure
```
5
Lattice="5.9539 0.0000 0.0000 0.0000 5.9539 0.0000 0.0000 0.0000 4.4774" Properties=species:S:1:pos:R:3 pbc="T T T"
Cs 0.0000 0.0000 0.0000
P 2.9769 2.9769 0.0000
Os 2.9769 2.9769 2.2387
I 0.0000 2.9769 2.2387
I 2.9769 0.0000 2.2387
```

Peak list (10 most intense, 10° ≤ 2θ ≤ 80°, in order of falling intensity)
d (Å)	Position (°2θ)	I/Imax
2.977	30.0	100
3.578	24.9	72
1.789	51.0	45
2.289	39.4	44
2.105	43.0	37
3.067	29.1	31
4.477	19.8	29
1.534	60.4	27
2.479	36.2	26
2.239	40.3	22

[12]
Diffraction record for Cs2PI7. The powder XRD pattern is simulated, not measured: it uses a structure optimized by DFT (PBE) and copper Kα.

Crystal structure
```
10
Lattice="-4.2019 4.2019 6.5858 4.2019 -4.2019 6.5858 4.2019 4.2019 -6.5858" Properties=species:S:1:pos:R:3 pbc="T T T"
Cs 4.2019 0.0000 3.2929
Cs 0.0000 4.2019 3.2929
P 0.0000 0.0000 0.0000
I 0.0000 0.0000 2.7915
I 1.9491 1.9491 0.0000
I 2.2529 -2.2529 6.5858
I 0.0000 0.0000 6.5858
I -2.2529 2.2529 6.5858
I 2.2529 2.2529 6.5858
I 0.0000 0.0000 10.3801
```

Peak list (10 most intense, 10° ≤ 2θ ≤ 80°, in order of falling intensity)
d (Å)	Position (°2θ)	I/Imax
3.542	25.1	100
2.971	30.1	62
2.206	40.9	44
3.293	27.1	35
1.807	50.5	26
2.101	43.1	22
1.771	51.6	21
2.855	31.3	17
1.232	77.5	11
1.946	46.7	11

[13]
Diffraction record for CsPaI. The powder XRD pattern is simulated, not measured: it uses a structure optimized by DFT (PBE) and copper Kα.

Crystal structure
```
12
Lattice="33.4275 0.0000 0.0000 0.0000 4.1108 0.0000 -0.3774 0.0000 3.8676" Properties=species:S:1:pos:R:3 pbc="T T T"
Cs 2.3081 0.0000 1.8258
Cs 14.0282 2.0554 2.0418
Cs 19.0219 2.0554 1.8258
Cs 30.7420 0.0000 2.0418
Pa 7.4540 2.0554 2.4514
Pa 8.8823 0.0000 1.4162
Pa 24.1678 0.0000 2.4514
Pa 25.5961 2.0554 1.4162
I 4.9422 2.0554 0.1407
I 11.3942 0.0000 3.7269
I 21.6560 0.0000 0.1407
I 28.1079 2.0554 3.7269
```

Peak list (10 most intense, 10° ≤ 2θ ≤ 80°, in order of falling intensity)
d (Å)	Position (°2θ)	I/Imax
3.857	23.1	100
3.037	29.4	89
2.662	33.7	82
2.790	32.1	73
5.545	16.0	68
2.436	36.9	63
3.497	25.5	59
3.384	26.3	46
3.327	26.8	45
2.321	38.8	35